[1]
For Ba2PaO5, a structure optimized by DFT (PBE) gives the simulated X-ray powder pattern in this record (Cu Kα X-rays).
No peak broadening, texture or thermal motion is included.

Structural model:
```
Ba2PaO5
1.0
8.0974 0.0000 0.0000
0.0000 6.1418 0.0000
0.0000 0.0000 11.9996
Ba Pa O
8 4 20
Direct
0.0065 0.2500 0.2341
0.1507 0.2500 0.5761
0.3493 0.7500 0.0761
0.4935 0.7500 0.7341
0.5065 0.2500 0.2659
0.6507 0.2500 0.9239
0.8493 0.7500 0.4239
0.9935 0.7500 0.7659
0.1775 0.2500 0.9377
0.3225 0.7500 0.4377
0.6775 0.2500 0.5623
0.8225 0.7500 0.0623
0.0000 0.0000 0.0000
0.0000 0.5000 0.0000
0.0476 0.2500 0.7889
0.1508 0.5021 0.3930
0.1508 0.9979 0.3930
0.2223 0.7500 0.6039
0.2777 0.2500 0.1039
0.3492 0.0021 0.8930
0.3492 0.4979 0.8930
0.4524 0.7500 0.2889
0.5000 0.0000 0.5000
0.5000 0.5000 0.5000
0.5476 0.2500 0.7111
0.6508 0.5021 0.1070
0.6508 0.9979 0.1070
0.7223 0.7500 0.8961
0.7777 0.2500 0.3961
0.8492 0.0021 0.6070
0.8492 0.4979 0.6070
0.9524 0.7500 0.2111
```

Peak list (6 most intense, 2θ from 10° to 90°, by intensity)
- 2θ 26.6, I = 100
- 2θ 26.4, I = 41
- 2θ 29.1, I = 35
- 2θ 27.4, I = 23
- 2θ 43.4, I = 22
- 2θ 39.8, I = 21



[2]
For Ba4Pa3PbO12, a structure optimized by DFT (PBE) gives the simulated X-ray powder pattern in this record (Cu Kα X-rays).
No peak broadening, texture or thermal motion is included.

Structural model:
```
Ba4Pa3PbO12
1.0
-4.5328 4.5328 4.5328
4.5328 -4.5328 4.5328
4.5328 4.5328 -4.5328
Ba Pa Pb O
4 3 1 12
Direct
0.0000 0.0000 0.5000
0.0000 0.5000 0.0000
0.5000 0.0000 0.0000
0.5000 0.5000 0.5000
0.0000 0.5000 0.5000
0.5000 0.0000 0.5000
0.5000 0.5000 0.0000
0.0000 0.0000 0.0000
0.0000 0.2692 0.2692
0.0000 0.7308 0.7308
0.2500 0.5000 0.7500
0.2500 0.7500 0.5000
0.2692 0.0000 0.2692
0.2692 0.2692 0.0000
0.5000 0.2500 0.7500
0.5000 0.7500 0.2500
0.7308 0.0000 0.7308
0.7308 0.7308 0.0000
0.7500 0.2500 0.5000
0.7500 0.5000 0.2500
```

Peak list (6 most intense, 2θ from 10° to 90°, by intensity)
- 2θ 27.8, I = 100
- 2θ 49.2, I = 43
- 2θ 39.8, I = 28
- 2θ 79.0, I = 23
- 2θ 65.1, I = 19
- 2θ 57.5, I = 18



[3]
For BaPa2Pb2O7, a structure optimized by DFT (PBE) gives the simulated X-ray powder pattern in this record (Cu Kα X-rays).
No peak broadening, texture or thermal motion is included.

Structural model:
```
BaPa2Pb2O7
1.0
-2.1803 13.1561 2.1695
2.1803 -13.1561 2.1695
2.1803 13.1561 -2.1695
Ba Pa Pb O
1 2 2 7
Direct
0.0000 0.0000 0.0000
0.4140 0.9999 0.4140
0.5859 0.9999 0.5860
0.1257 0.4038 0.7218
0.6820 0.4038 0.2782
0.0741 0.4990 0.5751
0.3478 0.0141 0.3337
0.4261 0.5002 0.9259
0.4994 0.9994 0.5000
0.5743 0.5002 0.0741
0.6804 0.0141 0.6663
0.9240 0.4990 0.4249
```

Peak list (6 most intense, 2θ from 10° to 90°, by intensity)
- 2θ 26.6, I = 100
- 2θ 29.8, I = 100
- 2θ 31.4, I = 79
- 2θ 20.2, I = 41
- 2θ 20.6, I = 37
- 2θ 22.8, I = 36



[4]
For BaPaPtO5, a structure optimized by DFT (PBE) gives the simulated X-ray powder pattern in this record (Cu Kα X-rays).
No peak broadening, texture or thermal motion is included.

Structural model:
```
BaPaPtO5
1.0
3.1880 -5.2847 0.0000
3.1880 5.2847 0.0000
-2.1583 0.0000 7.9311
Ba Pa Pt O
2 2 2 10
Direct
0.1797 0.8203 0.7500
0.8203 0.1797 0.2500
0.5000 0.5000 0.0000
0.5000 0.5000 0.5000
0.1683 0.8317 0.2500
0.8317 0.1683 0.7500
0.1087 0.1822 0.9187
0.1822 0.1087 0.4187
0.2811 0.6732 0.4202
0.3268 0.7189 0.0798
0.4347 0.5653 0.7500
0.5653 0.4347 0.2500
0.6732 0.2811 0.9202
0.7189 0.3268 0.5798
0.8178 0.8913 0.5813
0.8913 0.8178 0.0813
```

Peak list (6 most intense, 2θ from 10° to 90°, by intensity)
- 2θ 29.2, I = 100
- 2θ 24.8, I = 85
- 2θ 29.0, I = 70
- 2θ 28.1, I = 68
- 2θ 51.6, I = 53
- 2θ 31.0, I = 37



[5]
For Ba4Pu3PaO12, a structure optimized by DFT (PBE) gives the simulated X-ray powder pattern in this record (Cu Kα X-rays).
No peak broadening, texture or thermal motion is included.

Structural model:
```
Ba4Pu3PaO12
1.0
-4.4464 4.4464 4.4464
4.4464 -4.4464 4.4464
4.4464 4.4464 -4.4464
Ba Pu Pa O
4 3 1 12
Direct
0.0000 0.0000 0.5000
0.0000 0.5000 0.0000
0.5000 0.0000 0.0000
0.5000 0.5000 0.5000
0.0000 0.5000 0.5000
0.5000 0.0000 0.5000
0.5000 0.5000 0.0000
0.0000 0.0000 0.0000
0.0000 0.2446 0.2446
0.0000 0.7554 0.7554
0.2446 0.0000 0.2446
0.2446 0.2446 0.0000
0.2500 0.5000 0.7500
0.2500 0.7500 0.5000
0.5000 0.2500 0.7500
0.5000 0.7500 0.2500
0.7500 0.2500 0.5000
0.7500 0.5000 0.2500
0.7554 0.0000 0.7554
0.7554 0.7554 0.0000
```

Peak list (6 most intense, 2θ from 10° to 90°, by intensity)
- 2θ 28.4, I = 100
- 2θ 50.3, I = 43
- 2θ 40.6, I = 27
- 2θ 80.9, I = 23
- 2θ 66.5, I = 19
- 2θ 58.7, I = 18



[6]
For RbBaPa2O7, a structure optimized by DFT (PBE) gives the simulated X-ray powder pattern in this record (Cu Kα X-rays).
No peak broadening, texture or thermal motion is included.

Structural model:
```
RbBaPa2O7
1.0
-2.1998 2.1998 11.9450
2.1998 -2.1998 11.9450
2.1998 2.1998 -11.9450
Rb Ba Pa O
1 1 2 7
Direct
0.0000 0.0000 0.0000
0.2500 0.7500 0.5000
0.6563 0.1563 0.5000
0.8437 0.3437 0.5000
0.1684 0.1684 0.0000
0.3301 0.3301 0.0000
0.5736 0.0736 0.5000
0.6699 0.6699 0.0000
0.7500 0.2500 0.5000
0.8316 0.8316 0.0000
0.9264 0.4264 0.5000
```

Peak list (6 most intense, 2θ from 10° to 90°, by intensity)
- 2θ 27.6, I = 100
- 2θ 20.5, I = 59
- 2θ 50.1, I = 41
- 2θ 41.0, I = 37
- 2θ 28.7, I = 36
- 2θ 29.7, I = 36



[7]
For BaPaS2O8, a structure optimized by DFT (PBE) gives the simulated X-ray powder pattern in this record (Cu Kα X-rays).
No peak broadening, texture or thermal motion is included.

Structural model:
```
BaPaS2O8
1.0
5.9601 0.0000 0.0000
-2.9801 5.1616 0.0000
0.0000 0.0000 7.4368
Ba Pa S O
1 1 2 8
Direct
0.0000 0.0000 0.0000
0.0000 0.0000 0.5000
0.3333 0.6667 0.2730
0.6667 0.3333 0.7270
0.1622 0.3244 0.3114
0.1622 0.8378 0.3114
0.3244 0.1622 0.6886
0.3333 0.6667 0.0747
0.6667 0.3333 0.9253
0.6756 0.8378 0.3114
0.8378 0.1622 0.6886
0.8378 0.6756 0.6886
```

Peak list (6 most intense, 2θ from 10° to 90°, by intensity)
- 2θ 17.2, I = 100
- 2θ 29.6, I = 69
- 2θ 30.0, I = 45
- 2θ 42.6, I = 34
- 2θ 38.7, I = 29
- 2θ 53.0, I = 29



[8]
For Ba2PaSi3O12, a structure optimized by DFT (PBE) gives the simulated X-ray powder pattern in this record (Cu Kα X-rays).
No peak broadening, texture or thermal motion is included.

Structural model:
```
Ba2PaSi3O12
1.0
3.3807 1.9518 5.7333
-3.3807 1.9518 5.7333
0.0000 -3.9036 5.7333
Ba Pa Si O
2 1 3 12
Direct
0.1088 0.1088 0.1088
0.8912 0.8912 0.8912
0.5000 0.5000 0.5000
0.0000 0.5000 0.5000
0.5000 0.0000 0.5000
0.5000 0.5000 0.0000
0.1129 0.6006 0.6006
0.2038 0.2038 0.5879
0.2038 0.5879 0.2038
0.3994 0.3994 0.8871
0.3994 0.8871 0.3994
0.4121 0.7962 0.7962
0.5879 0.2038 0.2038
0.6006 0.1129 0.6006
0.6006 0.6006 0.1129
0.7962 0.4121 0.7962
0.7962 0.7962 0.4121
0.8871 0.3994 0.3994
```

Peak list (6 most intense, 2θ from 10° to 90°, by intensity)
- 2θ 30.7, I = 100
- 2θ 30.1, I = 86
- 2θ 26.4, I = 84
- 2θ 18.3, I = 63
- 2θ 40.5, I = 46
- 2θ 32.3, I = 37